Record 1
# Ac4TmCo3O12
Calculated powder diffraction line list, Cu Kα, 1.54184 Å. Input: a crystal structure in Alexandria, relaxed with PBE+U.
Kinematic intensities with the Lorentz-polarization factor, no thermal factor.

Cell and atoms:
```
Ac4TmCo3O12
1.0
-4.0138 4.0138 4.0138
4.0138 -4.0138 4.0138
4.0138 4.0138 -4.0138
Ac Tm Co O
4 1 3 12
direct
0.0000 0.0000 0.5000
0.0000 0.5000 0.0000
0.5000 0.0000 0.0000
0.5000 0.5000 0.5000
0.0000 0.0000 0.0000
0.0000 0.5000 0.5000
0.5000 0.0000 0.5000
0.5000 0.5000 0.0000
0.0000 0.2637 0.2637
0.0000 0.7363 0.7363
0.2500 0.5000 0.7500
0.2500 0.7500 0.5000
0.2637 0.0000 0.2637
0.2637 0.2637 0.0000
0.5000 0.2500 0.7500
0.5000 0.7500 0.2500
0.7363 0.0000 0.7363
0.7363 0.7363 0.0000
0.7500 0.2500 0.5000
0.7500 0.5000 0.2500
```

Peak list (10 most intense, 5 to 70 degrees two-theta, in order of rising 2θ)
2θ = 15.6°, d 5.676, I 4
2θ = 22.1°, d 4.014, I 17
2θ = 27.2°, d 3.277, I 2
2θ = 31.5°, d 2.838, I 100
2θ = 38.9°, d 2.317, I 15
2θ = 42.1°, d 2.145, I 2
2θ = 45.2°, d 2.007, I 28
2θ = 50.9°, d 1.795, I 9
2θ = 56.1°, d 1.639, I 40
2θ = 65.8°, d 1.419, I 17

=====

Record 2
# Ac4ZnCo3O12
Calculated powder diffraction line list, Cu Kα, 1.54184 Å. Input: a crystal structure in Alexandria, relaxed with PBE+U.
Kinematic intensities with the Lorentz-polarization factor, no thermal factor.

Cell and atoms:
```
Ac4ZnCo3O12
1.0
-3.9750 3.9750 3.9750
3.9750 -3.9750 3.9750
3.9750 3.9750 -3.9750
Ac Zn Co O
4 1 3 12
direct
0.0000 0.0000 0.5000
0.0000 0.5000 0.0000
0.5000 0.0000 0.0000
0.5000 0.5000 0.5000
0.0000 0.0000 0.0000
0.0000 0.5000 0.5000
0.5000 0.0000 0.5000
0.5000 0.5000 0.0000
0.0000 0.2583 0.2583
0.0000 0.7417 0.7417
0.2500 0.5000 0.7500
0.2500 0.7500 0.5000
0.2583 0.0000 0.2583
0.2583 0.2583 0.0000
0.5000 0.2500 0.7500
0.5000 0.7500 0.2500
0.7417 0.0000 0.7417
0.7417 0.7417 0.0000
0.7500 0.2500 0.5000
0.7500 0.5000 0.2500
```

Peak list (7 most intense, 5 to 70 degrees two-theta, in order of rising 2θ)
2θ = 22.4°, d 3.975, I 30
2θ = 31.8°, d 2.811, I 100
2θ = 39.3°, d 2.295, I 22
2θ = 45.6°, d 1.987, I 28
2θ = 51.4°, d 1.778, I 16
2θ = 56.7°, d 1.623, I 40
2θ = 66.5°, d 1.405, I 17